Structure and calculated powder X-ray diffraction pattern of Eu2Zn3Ge (a DFT-relaxed cell (PBE, Alexandria); Cu Ka).
Intensities are scaled so that the largest is 100.

Crystal structure
```
data_Eu2Zn3Ge
_chemical_formula_sum 'Eu4 Zn6 Ge2'
_cell_length_a 9.022
_cell_length_b 8.708
_cell_length_c 5.949
_cell_angle_alpha 73.28
_cell_angle_beta 67.57
_cell_angle_gamma 39.16
_space_group_name_H-M_alt 'P 1'
_space_group_IT_number 1
loop_
_space_group_symop_operation_xyz
'x,y,z'
loop_
_atom_site_label
_atom_site_type_symbol
_atom_site_fract_x
_atom_site_fract_y
_atom_site_fract_z
_atom_site_occupancy
Eu1 Eu 0.240 0.760 0.760 1
Eu2 Eu 0.250 0.250 0.250 1
Eu3 Eu 0.750 0.750 0.750 1
Eu4 Eu 0.760 0.240 0.240 1
Zn1 Zn 0.168 0.168 0.832 1
Zn2 Zn 0.170 0.664 0.336 1
Zn3 Zn 0.336 0.830 0.170 1
Zn4 Zn 0.664 0.170 0.830 1
Zn5 Zn 0.830 0.336 0.664 1
Zn6 Zn 0.832 0.832 0.168 1
Ge1 Ge 0.335 0.335 0.665 1
Ge2 Ge 0.665 0.665 0.335 1
```

Top 10 peaks for 10° ≤ 2θ ≤ 90°, most intense first:
d_spacing	intensity
2.749	100
2.256	50
2.745	50
1.467	37
1.746	26
2.263	25
1.379	23
3.911	23
1.930	15
1.741	13

Structure and calculated powder X-ray diffraction pattern of KPa2Cd2O7 (a DFT-relaxed cell (PBE, Alexandria); Cu Ka).
Intensities are scaled so that the largest is 100.

Crystal structure
```
data_KPa2Cd2O7
_chemical_formula_sum 'K1 Pa2 Cd2 O7'
_cell_length_a 11.348
_cell_length_b 11.348
_cell_length_c 11.348
_cell_angle_alpha 157.90
_cell_angle_beta 157.88
_cell_angle_gamma 31.47
_space_group_name_H-M_alt 'P 1'
_space_group_IT_number 1
loop_
_space_group_symop_operation_xyz
'x,y,z'
loop_
_atom_site_label
_atom_site_type_symbol
_atom_site_fract_x
_atom_site_fract_y
_atom_site_fract_z
_atom_site_occupancy
K1 K 0.000 0.000 0.000 1
Pa1 Pa 0.400 0.400 0.000 1
Pa2 Pa 0.600 0.600 0.000 1
Cd1 Cd 0.250 0.750 0.500 1
Cd2 Cd 0.750 0.250 0.500 1
O1 O 0.098 0.598 0.500 1
O2 O 0.293 0.293 0.000 1
O3 O 0.402 0.902 0.500 1
O4 O 0.500 0.500 0.000 1
O5 O 0.598 0.098 0.500 1
O6 O 0.707 0.707 0.000 1
O7 O 0.902 0.402 0.500 1
```

Top 10 peaks for 10° ≤ 2θ ≤ 90°, most intense first:
d_spacing	intensity
4.268	100
3.082	82
2.681	56
3.641	50
2.176	49
2.962	47
1.781	38
1.778	31
1.868	31
1.938	25

Structure and calculated powder X-ray diffraction pattern of SrCd6Hg4 (a DFT-relaxed cell (PBE, Alexandria); Cu Ka).
Intensities are scaled so that the largest is 100.

Crystal structure
```
data_SrCd6Hg4
_chemical_formula_sum 'Sr1 Cd6 Hg4'
_cell_length_a 8.658
_cell_length_b 8.658
_cell_length_c 4.355
_cell_angle_alpha 90.00
_cell_angle_beta 90.00
_cell_angle_gamma 120.00
_space_group_name_H-M_alt 'P 1'
_space_group_IT_number 1
loop_
_space_group_symop_operation_xyz
'x,y,z'
loop_
_atom_site_label
_atom_site_type_symbol
_atom_site_fract_x
_atom_site_fract_y
_atom_site_fract_z
_atom_site_occupancy
Sr1 Sr 0.000 0.000 0.000 1
Cd1 Cd 0.200 0.401 0.500 1
Cd2 Cd 0.200 0.800 0.500 1
Cd3 Cd 0.536 0.071 0.000 1
Cd4 Cd 0.536 0.464 0.000 1
Cd5 Cd 0.599 0.800 0.500 1
Cd6 Cd 0.929 0.464 0.000 1
Hg1 Hg 0.333 0.667 0.000 1
Hg2 Hg 0.374 0.187 0.500 1
Hg3 Hg 0.813 0.187 0.500 1
Hg4 Hg 0.813 0.626 0.500 1
```

Top 10 peaks for 10° ≤ 2θ ≤ 90°, most intense first:
d_spacing	intensity
2.839	100
2.375	82
2.166	67
3.070	38
1.535	29
2.177	28
3.749	27
1.418	26
7.498	14
1.721	13

Structure and calculated powder X-ray diffraction pattern of Ta5Ru3 (a DFT-relaxed cell (PBE, Alexandria); Cu Ka).
Intensities are scaled so that the largest is 100.

Crystal structure
```
data_Ta5Ru3
_chemical_formula_sum 'Ta5 Ru3'
_cell_length_a 3.204
_cell_length_b 3.204
_cell_length_c 12.919
_cell_angle_alpha 90.00
_cell_angle_beta 90.00
_cell_angle_gamma 90.00
_space_group_name_H-M_alt 'P 1'
_space_group_IT_number 1
loop_
_space_group_symop_operation_xyz
'x,y,z'
loop_
_atom_site_label
_atom_site_type_symbol
_atom_site_fract_x
_atom_site_fract_y
_atom_site_fract_z
_atom_site_occupancy
Ta1 Ta 0.000 0.000 0.000 1
Ta2 Ta 0.000 0.000 0.244 1
Ta3 Ta 0.000 0.000 0.756 1
Ta4 Ta 0.500 0.500 0.377 1
Ta5 Ta 0.500 0.500 0.623 1
Ru1 Ru 0.000 0.000 0.500 1
Ru2 Ru 0.500 0.500 0.121 1
Ru3 Ru 0.500 0.500 0.879 1
```

Top 10 peaks for 10° ≤ 2θ ≤ 90°, most intense first:
d_spacing	intensity
2.275	100
2.266	50
1.310	36
1.602	17
1.315	17
1.137	11
1.615	8
3.110	6
1.133	6
1.703	2

Structure and calculated powder X-ray diffraction pattern of Dy4Tl2TeP (a DFT-relaxed cell (PBE, Alexandria); Cu Ka).
Intensities are scaled so that the largest is 100.

Crystal structure
```
data_Dy4Tl2TeP
_chemical_formula_sum 'Dy4 Tl2 Te1 P1'
_cell_length_a 7.089
_cell_length_b 4.001
_cell_length_c 8.204
_cell_angle_alpha 90.00
_cell_angle_beta 105.76
_cell_angle_gamma 90.00
_space_group_name_H-M_alt 'P 1'
_space_group_IT_number 1
loop_
_space_group_symop_operation_xyz
'x,y,z'
loop_
_atom_site_label
_atom_site_type_symbol
_atom_site_fract_x
_atom_site_fract_y
_atom_site_fract_z
_atom_site_occupancy
Dy1 Dy 0.216 0.000 0.211 1
Dy2 Dy 0.235 0.500 0.773 1
Dy3 Dy 0.765 0.500 0.227 1
Dy4 Dy 0.784 0.000 0.789 1
Tl1 Tl 0.000 0.000 0.500 1
Tl2 Tl 0.500 0.500 0.500 1
Te1 Te 0.500 0.000 0.000 1
P1 P 0.000 0.500 0.000 1
```

Top 10 peaks for 10° ≤ 2θ ≤ 90°, most intense first:
d_spacing	intensity
3.015	100
2.247	27
2.034	21
2.292	13
1.667	12
2.000	11
1.508	11
1.406	10
2.632	8
2.796	8

Structure and calculated powder X-ray diffraction pattern of Nb3SnS2 (a DFT-relaxed cell (PBE, Alexandria); Cu Ka).
Intensities are scaled so that the largest is 100.

Crystal structure
```
data_Nb3SnS2
_chemical_formula_sum 'Nb6 Sn2 S4'
_cell_length_a 7.432
_cell_length_b 7.432
_cell_length_c 8.186
_cell_angle_alpha 121.69
_cell_angle_beta 121.69
_cell_angle_gamma 37.38
_space_group_name_H-M_alt 'P 1'
_space_group_IT_number 1
loop_
_space_group_symop_operation_xyz
'x,y,z'
loop_
_atom_site_label
_atom_site_type_symbol
_atom_site_fract_x
_atom_site_fract_y
_atom_site_fract_z
_atom_site_occupancy
Nb1 Nb 0.032 0.032 0.209 1
Nb2 Nb 0.293 0.293 0.461 1
Nb3 Nb 0.377 0.377 0.885 1
Nb4 Nb 0.623 0.623 0.115 1
Nb5 Nb 0.707 0.707 0.539 1
Nb6 Nb 0.968 0.968 0.791 1
Sn1 Sn 0.129 0.129 0.635 1
Sn2 Sn 0.871 0.871 0.365 1
S1 S 0.173 0.173 0.088 1
S2 S 0.499 0.499 0.738 1
S3 S 0.501 0.501 0.262 1
S4 S 0.827 0.827 0.912 1
```

Top 10 peaks for 10° ≤ 2θ ≤ 90°, most intense first:
d_spacing	intensity
2.368	100
2.419	35
2.381	34
1.697	23
6.609	21
1.372	18
1.386	18
4.116	11
1.184	7
2.403	6

Structure and calculated powder X-ray diffraction pattern of Pu3AgO9 (a DFT-relaxed cell (PBE, Alexandria); Cu Ka).
Intensities are scaled so that the largest is 100.

Crystal structure
```
data_Pu3AgO9
_chemical_formula_sum 'Pu3 Ag1 O9'
_cell_length_a 7.955
_cell_length_b 7.955
_cell_length_c 4.120
_cell_angle_alpha 90.00
_cell_angle_beta 90.00
_cell_angle_gamma 120.00
_space_group_name_H-M_alt 'P 1'
_space_group_IT_number 1
loop_
_space_group_symop_operation_xyz
'x,y,z'
loop_
_atom_site_label
_atom_site_type_symbol
_atom_site_fract_x
_atom_site_fract_y
_atom_site_fract_z
_atom_site_occupancy
Pu1 Pu 0.000 0.500 0.000 1
Pu2 Pu 0.500 0.000 0.000 1
Pu3 Pu 0.500 0.500 0.000 1
Ag1 Ag 0.000 0.000 0.500 1
O1 O 0.000 0.500 0.500 1
O2 O 0.205 0.410 0.000 1
O3 O 0.205 0.795 0.000 1
O4 O 0.410 0.205 0.000 1
O5 O 0.500 0.000 0.500 1
O6 O 0.500 0.500 0.500 1
O7 O 0.590 0.795 0.000 1
O8 O 0.795 0.205 0.000 1
O9 O 0.795 0.590 0.000 1
```

Top 10 peaks for 10° ≤ 2θ ≤ 90°, most intense first:
d_spacing	intensity
3.445	100
3.536	36
2.643	36
4.120	31
1.768	31
1.989	27
2.862	22
1.431	18
1.791	17
6.889	16

Structure and calculated powder X-ray diffraction pattern of DyTmCd4 (a DFT-relaxed cell (PBE, Alexandria); Cu Ka).
Intensities are scaled so that the largest is 100.

Crystal structure
```
data_DyTmCd4
_chemical_formula_sum 'Dy1 Tm1 Cd4'
_cell_length_a 3.399
_cell_length_b 8.605
_cell_length_c 4.960
_cell_angle_alpha 90.00
_cell_angle_beta 90.14
_cell_angle_gamma 90.00
_space_group_name_H-M_alt 'P 1'
_space_group_IT_number 1
loop_
_space_group_symop_operation_xyz
'x,y,z'
loop_
_atom_site_label
_atom_site_type_symbol
_atom_site_fract_x
_atom_site_fract_y
_atom_site_fract_z
_atom_site_occupancy
Dy1 Dy 0.000 0.000 0.000 1
Tm1 Tm 0.000 0.500 0.500 1
Cd1 Cd 0.500 0.168 0.500 1
Cd2 Cd 0.500 0.334 0.000 1
Cd3 Cd 0.500 0.666 0.000 1
Cd4 Cd 0.500 0.832 0.500 1
```

Top 10 peaks for 10° ≤ 2θ ≤ 90°, most intense first:
d_spacing	intensity
2.667	100
2.482	82
1.467	26
1.818	21
1.433	14
1.403	13
1.401	13
1.096	13
1.815	11
1.126	9